# 1
This entry pairs a crystal structure of Hg3TeCl4 with its theoretical powder diffraction line list. Radiation: Cu Ka. Structure: a cell relaxed with PBE.
Lines closer than 0.1° are merged.

Structural model:
Lattice parameters (Å, degrees): 7.471 7.471 12.135 113.11 113.11 55.91
Fractional coordinates of all 16 atoms:
Hg  0.011  0.989  0.500
Hg  0.193  0.326  0.872
Hg  0.326  0.193  0.372
Hg  0.656  0.744  0.688
Hg  0.744  0.656  0.188
Hg  0.989  0.011  0.000
Te  0.075  0.681  0.792
Te  0.681  0.075  0.292
Cl  0.107  0.342  0.080
Cl  0.176  0.890  0.208
Cl  0.342  0.107  0.580
Cl  0.375  0.616  0.556
Cl  0.480  0.933  0.895
Cl  0.616  0.375  0.056
Cl  0.890  0.176  0.708
Cl  0.933  0.480  0.395

Principal peaks in the range 2θ = 10–90°, sorted by position:
2θ = 16.5°, I = 100
2θ = 24.4°, I = 77
2θ = 24.7°, I = 45
2θ = 25.9°, I = 41
2θ = 32.9°, I = 43
2θ = 39.9°, I = 41


# 2
This entry pairs a crystal structure of ThHgCl14 with its theoretical powder diffraction line list. Radiation: Cu Ka. Structure: a cell relaxed with PBE.
Lines closer than 0.1° are merged.

Structural model:
Lattice parameters (Å, degrees): 9.171 9.171 8.959 105.04 105.04 99.48
Fractional coordinates of all 16 atoms:
Th  0.000  0.000  0.000
Hg  0.373  0.373  0.094
Cl  0.181  0.181  0.866
Cl  0.197  0.197  0.281
Cl  0.197  0.818  0.006
Cl  0.313  0.845  0.612
Cl  0.390  0.390  0.625
Cl  0.514  0.992  0.769
Cl  0.515  0.515  0.858
Cl  0.562  0.562  0.307
Cl  0.762  0.905  0.180
Cl  0.818  0.197  0.006
Cl  0.845  0.313  0.612
Cl  0.858  0.858  0.694
Cl  0.905  0.762  0.180
Cl  0.992  0.514  0.769

Principal peaks in the range 2θ = 10–90°, sorted by position:
2θ = 10.8°, I = 100
2θ = 12.3°, I = 48
2θ = 12.6°, I = 91
2θ = 16.6°, I = 83
2θ = 25.4°, I = 53
2θ = 26.3°, I = 68


# 3
This entry pairs a crystal structure of Ti3Hg2Cl9 with its theoretical powder diffraction line list. Radiation: Cu Ka. Structure: a cell relaxed with PBE.
Lines closer than 0.1° are merged.

Structural model:
Lattice parameters (Å, degrees): 10.058 10.058 12.191 96.84 96.84 121.36
Fractional coordinates of all 28 atoms:
Ti  0.061  0.286  0.623
Ti  0.159  0.159  0.339
Ti  0.286  0.061  0.623
Ti  0.714  0.939  0.377
Ti  0.841  0.841  0.661
Ti  0.939  0.714  0.377
Hg  0.178  0.523  0.047
Hg  0.477  0.822  0.953
Hg  0.523  0.178  0.047
Hg  0.822  0.477  0.953
Cl  0.084  0.892  0.259
Cl  0.107  0.510  0.718
Cl  0.108  0.916  0.741
Cl  0.187  0.378  0.467
Cl  0.191  0.809  0.500
Cl  0.284  0.284  0.212
Cl  0.294  0.294  0.708
Cl  0.378  0.187  0.467
Cl  0.490  0.893  0.282
Cl  0.510  0.107  0.718
Cl  0.622  0.813  0.533
Cl  0.706  0.706  0.292
Cl  0.716  0.716  0.788
Cl  0.809  0.191  0.500
Cl  0.813  0.622  0.533
Cl  0.892  0.084  0.259
Cl  0.893  0.490  0.282
Cl  0.916  0.108  0.741

Principal peaks in the range 2θ = 10–90°, sorted by position:
2θ = 12.6°, I = 100
2θ = 18.1°, I = 48
2θ = 18.4°, I = 62
2θ = 20.2°, I = 76
2θ = 24.8°, I = 66
2θ = 25.6°, I = 50


# 4
This entry pairs a crystal structure of TiHg2Cl8 with its theoretical powder diffraction line list. Radiation: Cu Ka. Structure: a cell relaxed with PBE.
Lines closer than 0.1° are merged.

Structural model:
Lattice parameters (Å, degrees): 7.250 7.250 9.219 104.75 104.75 56.27
Fractional coordinates of all 11 atoms:
Ti  0.000  0.000  0.000
Hg  0.160  0.160  0.373
Hg  0.840  0.840  0.627
Cl  0.034  0.034  0.740
Cl  0.106  0.632  0.915
Cl  0.341  0.341  0.518
Cl  0.368  0.894  0.085
Cl  0.632  0.106  0.915
Cl  0.659  0.659  0.482
Cl  0.894  0.368  0.085
Cl  0.966  0.966  0.260

Principal peaks in the range 2θ = 10–90°, sorted by position:
2θ = 14.8°, I = 79
2θ = 15.0°, I = 100
2θ = 19.1°, I = 35
2θ = 23.3°, I = 42
2θ = 28.0°, I = 38
2θ = 33.8°, I = 33